Computed X-ray diffraction stick pattern of Pa2Al5Co3 for Cu Kα, 1.54184 Å, from DFT lattice parameters and positions (GGA-PBE).
Kinematic intensities with the Lorentz-polarization factor, no thermal factor.

Atomic structure:
a = 12.2117 Å, b = 12.2117 Å, c = 6.7731 Å
α = 90.00°, β = 90.00°, γ = 161.03°
Fractional coordinates of all 20 atoms:
Pa (0.0298, 0.9702, 0.5000)
Pa (0.3246, 0.6754, 0.6024)
Pa (0.6754, 0.3246, 0.1024)
Pa (0.9702, 0.0298, 0.0000)
Al (0.0971, 0.9029, 0.8941)
Al (0.2069, 0.7931, 0.4174)
Al (0.2106, 0.7894, 0.8012)
Al (0.3670, 0.6330, 0.0669)
Al (0.4466, 0.5534, 0.6564)
Al (0.5534, 0.4466, 0.1564)
Al (0.6330, 0.3670, 0.5669)
Al (0.7894, 0.2106, 0.3012)
Al (0.7931, 0.2069, 0.9174)
Al (0.9029, 0.0971, 0.3941)
Co (0.1075, 0.8925, 0.2822)
Co (0.2634, 0.7366, 0.1116)
Co (0.4548, 0.5452, 0.2819)
Co (0.5452, 0.4548, 0.7819)
Co (0.7366, 0.2634, 0.6116)
Co (0.8925, 0.1075, 0.7822)

Top 10 peaks for 2θ = 10–90°, sorted by position:
2θ/deg  intensity
15.01  23.3
19.73  70.1
24.74  53.6
26.01  23.9
34.82  30.8
36.43  79.3
36.83  100.0
39.71  38.5
45.04  32.0
61.58  25.0

Computed X-ray diffraction stick pattern of PaAl3Co for Cu Kα, 1.54184 Å, from DFT lattice parameters and positions (GGA-PBE).
Kinematic intensities with the Lorentz-polarization factor, no thermal factor.

Atomic structure:
a = 8.0989 Å, b = 3.9691 Å, c = 10.6654 Å
α = 90.00°, β = 90.00°, γ = 90.00°
Fractional coordinates of all 20 atoms:
Pa (0.1809, 0.2500, 0.0014)
Pa (0.3191, 0.7500, 0.5014)
Pa (0.6809, 0.2500, 0.4986)
Pa (0.8191, 0.7500, 0.9986)
Al (0.0505, 0.2500, 0.4157)
Al (0.0994, 0.7500, 0.2213)
Al (0.1497, 0.7500, 0.7804)
Al (0.3503, 0.2500, 0.2804)
Al (0.4006, 0.2500, 0.7213)
Al (0.4495, 0.7500, 0.9157)
Al (0.5505, 0.2500, 0.0843)
Al (0.5994, 0.7500, 0.2787)
Al (0.6497, 0.7500, 0.7196)
Al (0.8503, 0.2500, 0.2196)
Al (0.9006, 0.2500, 0.7787)
Al (0.9495, 0.7500, 0.5843)
Co (0.1279, 0.2500, 0.6364)
Co (0.3721, 0.7500, 0.1364)
Co (0.6279, 0.2500, 0.8636)
Co (0.8721, 0.7500, 0.3636)

Top 10 peaks for 2θ = 10–90°, sorted by position:
2θ/deg  intensity
16.62  71.0
26.37  80.2
27.66  25.3
31.56  39.7
34.26  34.6
35.67  100.0
35.88  68.6
42.02  26.3
45.72  24.6
49.82  23.1

Computed X-ray diffraction stick pattern of PaAlCo3 for Cu Kα, 1.54184 Å, from DFT lattice parameters and positions (GGA-PBE).
Kinematic intensities with the Lorentz-polarization factor, no thermal factor.

Atomic structure:
a = 5.1610 Å, b = 5.1610 Å, c = 6.8086 Å
α = 90.00°, β = 90.00°, γ = 120.00°
Fractional coordinates of all 10 atoms:
Pa (0.3333, 0.6667, 0.2500)
Pa (0.6667, 0.3333, 0.7500)
Al (0.0000, 0.0000, 0.0000)
Al (0.0000, 0.0000, 0.5000)
Co (0.1807, 0.3614, 0.7500)
Co (0.1807, 0.8193, 0.7500)
Co (0.3614, 0.1807, 0.2500)
Co (0.6386, 0.8193, 0.7500)
Co (0.8193, 0.1807, 0.2500)
Co (0.8193, 0.6386, 0.2500)

Top 10 peaks for 2θ = 10–90°, sorted by position:
2θ/deg  intensity
23.81  60.4
26.18  73.5
33.08  26.3
34.76  26.9
42.58  100.0
48.74  28.7
56.09  20.7
57.91  41.5
69.37  17.0
79.43  17.1

Computed X-ray diffraction stick pattern of Pa4Al16Co3 for Cu Kα, 1.54184 Å, from DFT lattice parameters and positions (GGA-PBE).
Kinematic intensities with the Lorentz-polarization factor, no thermal factor.

Atomic structure:
a = 6.0629 Å, b = 6.0629 Å, c = 11.1447 Å
α = 90.00°, β = 90.00°, γ = 90.00°
Fractional coordinates of all 23 atoms:
Pa (0.0000, 0.5000, 0.1914)
Pa (0.0000, 0.5000, 0.8086)
Pa (0.5000, 0.0000, 0.1914)
Pa (0.5000, 0.0000, 0.8086)
Al (0.0000, 0.0000, 0.1980)
Al (0.0000, 0.0000, 0.8020)
Al (0.2229, 0.2229, 0.0000)
Al (0.2229, 0.7771, 0.0000)
Al (0.2479, 0.2479, 0.3838)
Al (0.2479, 0.2479, 0.6162)
Al (0.2479, 0.7521, 0.3838)
Al (0.2479, 0.7521, 0.6162)
Al (0.5000, 0.5000, 0.2185)
Al (0.5000, 0.5000, 0.7815)
Al (0.7521, 0.2479, 0.3838)
Al (0.7521, 0.2479, 0.6162)
Al (0.7521, 0.7521, 0.3838)
Al (0.7521, 0.7521, 0.6162)
Al (0.7771, 0.2229, 0.0000)
Al (0.7771, 0.7771, 0.0000)
Co (0.0000, 0.5000, 0.5000)
Co (0.5000, 0.0000, 0.5000)
Co (0.5000, 0.5000, 0.0000)

Top 10 peaks for 2θ = 10–90°, sorted by position:
2θ/deg  intensity
20.72  100.0
23.95  24.4
26.23  41.5
29.47  45.6
31.88  82.4
33.66  41.4
38.32  81.4
42.16  51.7
47.42  24.8
53.80  45.4

Computed X-ray diffraction stick pattern of Al5Co4Pd for Cu Kα, 1.54184 Å, from DFT lattice parameters and positions (GGA-PBE).
Kinematic intensities with the Lorentz-polarization factor, no thermal factor.

Atomic structure:
a = 2.8344 Å, b = 2.8344 Å, c = 15.1998 Å
α = 90.00°, β = 90.00°, γ = 90.00°
Fractional coordinates of all 10 atoms:
Al (0.0000, 0.0000, 0.0000)
Al (0.0000, 0.0000, 0.1904)
Al (0.0000, 0.0000, 0.3823)
Al (0.0000, 0.0000, 0.6177)
Al (0.0000, 0.0000, 0.8096)
Co (0.5000, 0.5000, 0.0947)
Co (0.5000, 0.5000, 0.2860)
Co (0.5000, 0.5000, 0.7140)
Co (0.5000, 0.5000, 0.9053)
Pd (0.5000, 0.5000, 0.5000)

Top 10 peaks for 2θ = 10–90°, sorted by position:
2θ/deg  intensity
29.38  16.6
31.57  28.3
39.67  8.4
43.66  100.0
45.24  49.6
54.87  10.6
60.95  6.5
65.91  15.2
79.07  11.7
82.44  28.7

Computed X-ray diffraction stick pattern of Pm2Al6CoPd for Cu Kα, 1.54184 Å, from DFT lattice parameters and positions (GGA-PBE).
Kinematic intensities with the Lorentz-polarization factor, no thermal factor.

Atomic structure:
a = 6.5717 Å, b = 6.5717 Å, c = 6.5545 Å
α = 119.88°, β = 119.88°, γ = 89.98°
Fractional coordinates of all 10 atoms:
Pm (0.2498, 0.7502, 0.0000)
Pm (0.7502, 0.2498, 0.0000)
Al (0.2412, 0.2412, 0.5002)
Al (0.2413, 0.2413, 0.9822)
Al (0.2411, 0.7589, 0.5000)
Al (0.7589, 0.2411, 0.5000)
Al (0.7587, 0.7587, 0.0178)
Al (0.7588, 0.7588, 0.4998)
Co (0.0000, 0.0000, 0.5000)
Pd (0.5000, 0.5000, 0.5000)

Top 10 peaks for 2θ = 10–90°, sorted by position:
2θ/deg  intensity
27.09  100.0
27.16  99.3
33.31  18.7
33.46  18.4
38.74  89.1
47.84  41.8
48.03  41.3
55.95  39.9
63.27  24.2
76.82  13.6

Computed X-ray diffraction stick pattern of PmAl3Co for Cu Kα, 1.54184 Å, from DFT lattice parameters and positions (GGA-PBE).
Kinematic intensities with the Lorentz-polarization factor, no thermal factor.

Atomic structure:
a = 8.2537 Å, b = 4.0824 Å, c = 10.7866 Å
α = 90.00°, β = 90.00°, γ = 90.00°
Fractional coordinates of all 20 atoms:
Pm (0.1888, 0.2500, 0.0104)
Pm (0.3112, 0.7500, 0.5104)
Pm (0.6888, 0.2500, 0.4896)
Pm (0.8112, 0.7500, 0.9896)
Al (0.0497, 0.2500, 0.5809)
Al (0.1139, 0.7500, 0.7770)
Al (0.1457, 0.7500, 0.2264)
Al (0.3543, 0.2500, 0.7264)
Al (0.3861, 0.2500, 0.2770)
Al (0.4503, 0.7500, 0.0809)
Al (0.5497, 0.2500, 0.9191)
Al (0.6139, 0.7500, 0.7230)
Al (0.6457, 0.7500, 0.2736)
Al (0.8543, 0.2500, 0.7736)
Al (0.8861, 0.2500, 0.2230)
Al (0.9503, 0.7500, 0.4191)
Co (0.1125, 0.2500, 0.3562)
Co (0.3875, 0.7500, 0.8562)
Co (0.6125, 0.2500, 0.1438)
Co (0.8875, 0.7500, 0.6438)

Top 10 peaks for 2θ = 10–90°, sorted by position:
2θ/deg  intensity
16.44  35.7
25.71  56.2
27.21  22.0
30.81  30.3
33.62  26.9
34.99  100.0
35.11  56.4
40.41  24.5
44.38  28.8
52.51  18.5

Computed X-ray diffraction stick pattern of Pm2AlCo2 for Cu Kα, 1.54184 Å, from DFT lattice parameters and positions (GGA-PBE).
Kinematic intensities with the Lorentz-polarization factor, no thermal factor.

Atomic structure:
a = 5.5543 Å, b = 5.5543 Å, c = 5.5543 Å
α = 137.38°, β = 119.99°, γ = 76.37°
Fractional coordinates of all 5 atoms:
Pm (0.2013, 0.2013, 0.0000)
Pm (0.7987, 0.7987, 0.0000)
Al (0.5000, 0.0000, 0.5000)
Co (0.2251, 0.5000, 0.7251)
Co (0.7749, 0.5000, 0.2749)

Top 10 peaks for 2θ = 10–90°, sorted by position:
2θ/deg  intensity
18.93  17.0
27.31  67.0
34.29  100.0
34.80  34.0
38.12  49.8
38.41  48.9
40.76  40.9
44.90  28.1
60.54  25.0
67.46  38.8

Computed X-ray diffraction stick pattern of PmAl12Co4 for Cu Kα, 1.54184 Å, from DFT lattice parameters and positions (GGA-PBE).
Kinematic intensities with the Lorentz-polarization factor, no thermal factor.

Atomic structure:
a = 7.7593 Å, b = 7.7593 Å, c = 7.7593 Å
α = 109.47°, β = 109.47°, γ = 109.47°
Fractional coordinates of all 17 atoms:
Pm (0.0000, 0.0000, 0.0000)
Al (0.0011, 0.7411, 0.2600)
Al (0.2589, 0.2600, 0.5189)
Al (0.2589, 0.7400, 0.9989)
Al (0.2600, 0.0011, 0.7411)
Al (0.2600, 0.5189, 0.2589)
Al (0.4811, 0.7411, 0.7400)
Al (0.5189, 0.2589, 0.2600)
Al (0.7400, 0.4811, 0.7411)
Al (0.7400, 0.9989, 0.2589)
Al (0.7411, 0.2600, 0.0011)
Al (0.7411, 0.7400, 0.4811)
Al (0.9989, 0.2589, 0.7400)
Co (0.0000, 0.0000, 0.5000)
Co (0.0000, 0.5000, 0.0000)
Co (0.5000, 0.0000, 0.0000)
Co (0.5000, 0.5000, 0.5000)

Top 10 peaks for 2θ = 10–90°, sorted by position:
2θ/deg  intensity
13.98  95.9
19.82  59.3
24.33  77.0
28.17  86.0
31.58  38.7
37.56  34.2
40.26  100.0
42.82  24.0
49.86  35.6
58.25  64.0

Computed X-ray diffraction stick pattern of Pm8AlCo2 for Cu Kα, 1.54184 Å, from DFT lattice parameters and positions (GGA-PBE).
Kinematic intensities with the Lorentz-polarization factor, no thermal factor.

Atomic structure:
a = 8.0678 Å, b = 8.0678 Å, c = 5.3020 Å
α = 97.08°, β = 97.08°, γ = 113.26°
Fractional coordinates of all 11 atoms:
Pm (0.1176, 0.1176, 0.8071)
Pm (0.1775, 0.4325, 0.4351)
Pm (0.2486, 0.7514, 0.0000)
Pm (0.4325, 0.1775, 0.4351)
Pm (0.5675, 0.8225, 0.5649)
Pm (0.7514, 0.2486, 0.0000)
Pm (0.8225, 0.5675, 0.5649)
Pm (0.8824, 0.8824, 0.1929)
Al (0.5000, 0.5000, 0.0000)
Co (0.1937, 0.8063, 0.5000)
Co (0.8063, 0.1937, 0.5000)

Top 10 peaks for 2θ = 10–90°, sorted by position:
2θ/deg  intensity
27.18  31.6
29.75  86.2
31.71  100.0
32.68  57.7
33.72  61.4
34.58  36.1
37.05  34.2
37.27  24.7
52.70  32.8
63.31  24.1

Computed X-ray diffraction stick pattern of Pm2Al2Co15 for Cu Kα, 1.54184 Å, from DFT lattice parameters and positions (GGA-PBE).
Kinematic intensities with the Lorentz-polarization factor, no thermal factor.

Atomic structure:
a = 6.3467 Å, b = 6.3467 Å, c = 6.3467 Å
α = 82.75°, β = 82.75°, γ = 82.75°
Fractional coordinates of all 19 atoms:
Pm (0.1475, 0.1475, 0.1475)
Pm (0.8525, 0.8525, 0.8525)
Al (0.3947, 0.3947, 0.3947)
Al (0.6053, 0.6053, 0.6053)
Co (0.0000, 0.5000, 0.5000)
Co (0.1518, 0.1518, 0.6471)
Co (0.1518, 0.6471, 0.1518)
Co (0.2155, 0.5000, 0.7845)
Co (0.2155, 0.7845, 0.5000)
Co (0.3529, 0.8482, 0.8482)
Co (0.5000, 0.0000, 0.5000)
Co (0.5000, 0.2155, 0.7845)
Co (0.5000, 0.5000, 0.0000)
Co (0.5000, 0.7845, 0.2155)
Co (0.6471, 0.1518, 0.1518)
Co (0.7845, 0.2155, 0.5000)
Co (0.7845, 0.5000, 0.2155)
Co (0.8482, 0.3529, 0.8482)
Co (0.8482, 0.8482, 0.3529)

Top 10 peaks for 2θ = 10–90°, sorted by position:
2θ/deg  intensity
30.48  37.9
33.43  19.6
37.12  29.8
38.35  37.2
43.13  58.8
43.39  100.0
44.19  53.3
48.76  24.9
62.81  29.7
63.46  27.8